[1]
Diffraction record for Cs2Pr2PuS6. The XRD peak list is theoretical, not measured: it uses a structure optimized by DFT (PBE) and a wavelength of 1.5418 Å.

Structural model:
a = 7.249 Å, b = 12.472 Å, c = 8.612 Å
α = 90.00°, β = 106.66°, γ = 90.00°
Space group C2/m (No. 12)
Inequivalent atoms, fractional coordinates:
Cs  0.000  0.170  0.000 x4
Pr  0.000  0.334  0.500 x4
Pu  0.000  0.000  0.500 x2
S  0.218  0.159  0.679 x8
S  0.248  0.500  0.679 x4

Top 10 peaks for 2θ from 5° to 70°, sorted by position:
10.7°, d = 8.250 Å, I = 62, (0 0 1)
14.6°, d = 6.067 Å, I = 27, (1 1 0)
21.5°, d = 4.125 Å, I = 45, (0 0 2)
25.7°, d = 3.468 Å, I = 71, (1 3 -1)
28.5°, d = 3.136 Å, I = 48, (2 0 -2)
28.7°, d = 3.111 Å, I = 100, (1 3 1)
38.3°, d = 2.352 Å, I = 40, (1 3 -3)
38.4°, d = 2.346 Å, I = 21, (2 0 2)
43.3°, d = 2.089 Å, I = 32, (3 3 -1)
49.0°, d = 1.858 Å, I = 21, (0 6 2)

[2]
Diffraction record for BaLi2MgP2O8. The XRD peak list is theoretical, not measured: it uses a structure optimized by DFT (PBE) and a wavelength of 1.5418 Å.

Structural model:
a = 5.1020 Å, b = 5.1020 Å, c = 7.1828 Å
α = 90.00°, β = 90.00°, γ = 120.00°
Space group P-3 (No. 147)
Inequivalent atoms, fractional coordinates:
Ba  0.0000  0.0000  0.0000 x1
Li  0.3333  0.6667  0.2616 x2
Mg  0.0000  0.0000  0.5000 x1
P  0.3333  0.6667  0.7494 x2
O  0.0639  0.3598  0.6799 x6
O  0.3333  0.6667  0.9655 x2

Top 10 peaks for 2θ from 5° to 70°, sorted by position:
12.3°, d = 7.183 Å, I = 43, (0 0 1)
20.1°, d = 4.418 Å, I = 52, (1 0 0)
23.6°, d = 3.763 Å, I = 90, (1 0 1)
32.1°, d = 2.787 Å, I = 100, (0 1 2)
35.2°, d = 2.551 Å, I = 58, (1 1 0)
37.4°, d = 2.404 Å, I = 60, (1 1 1)
43.5°, d = 2.080 Å, I = 31, (2 -1 2)
48.4°, d = 1.882 Å, I = 35, (0 2 2)
61.2°, d = 1.514 Å, I = 30, (2 1 2)
63.3°, d = 1.468 Å, I = 29, (1 1 4)

- Number 1 is which compound?
  Cs2Pr2PuS6

- What is the formula in the first record?
  Cs2Pr2PuS6